Starting from a cell relaxed with GGA-PBE, the PXRD pattern of PaPd was simulated for Cu Kα, 1.54184 Å.
Peak positions follow from Bragg's law for the DFT cell and can differ from measured ones.

abc: 6.813 6.813 6.813
angles: 90.00 90.00 90.00
Space group Fd-3m (No. 227, origin choice 2)
Unique sites:
Pa  0.125  0.125  0.125 x8
Pd  0.125  0.125  0.625 x8

Main lines, by angle (5° ≤ 2θ ≤ 70°):
(1 1 1), 22.60°, rel. 13.9
(2 2 0), 37.33°, rel. 100.0
(3 1 1), 44.08°, rel. 8.0
(4 0 0), 53.82°, rel. 17.6
(3 3 1), 59.10°, rel. 3.6
(4 2 2), 67.33°, rel. 36.2


Starting from a cell relaxed with GGA-PBE, the PXRD pattern of Y4SnPd2 was simulated for Cu Kα, 1.54184 Å.
Peak positions follow from Bragg's law for the DFT cell and can differ from measured ones.

abc: 8.669 15.168 6.976
angles: 90.00 128.09 90.00
Space group Cc (No. 9)
Unique sites:
Y  0.000  0.026  0.000 x4
Y  0.037  0.459  0.873 x4
Y  0.072  0.251  0.164 x4
Y  0.262  0.174  0.833 x4
Sn  0.253  0.367  0.657 x4
Pd  0.281  0.088  0.479 x4
Pd  0.366  0.333  0.144 x4

Main lines, by angle (5° ≤ 2θ ≤ 70°):
(2 2 -1), 23.64°, rel. 13.1
(0 4 1), 28.63°, rel. 35.9
(1 3 -2), 31.91°, rel. 100.0
(1 5 -1), 32.32°, rel. 51.7
(3 1 -1), 32.58°, rel. 85.1
(0 2 2), 34.75°, rel. 28.8
(2 4 0), 35.39°, rel. 59.1
(3 3 -1), 36.74°, rel. 17.6
(1 5 -2), 40.00°, rel. 12.7
(2 2 -3), 40.78°, rel. 29.4
(1 1 2), 42.83°, rel. 20.3
(1 7 -1), 43.85°, rel. 34.2


Starting from a cell relaxed with GGA-PBE, the PXRD pattern of Nd5Ho was simulated for Cu Kα, 1.54184 Å.
Peak positions follow from Bragg's law for the DFT cell and can differ from measured ones.

abc: 5.177 10.947 7.306
angles: 90.00 90.00 90.00
Space group Pmmn (No. 59, origin choice 2)
Unique sites:
Nd  0.250  0.083  0.124 x4
Nd  0.250  0.085  0.626 x4
Nd  0.250  0.750  0.626 x2
Ho  0.250  0.750  0.123 x2

Main lines, by angle (5° ≤ 2θ ≤ 70°):
(1 3 0), 29.95°, rel. 100.0
(2 0 0), 34.72°, rel. 50.7
(2 3 2), 49.90°, rel. 30.3
(0 6 0), 49.99°, rel. 6.0
(3 3 0), 59.22°, rel. 14.5
(1 6 2), 59.35°, rel. 28.8
(2 6 0), 62.23°, rel. 12.5


Starting from a cell relaxed with GGA-PBE, the PXRD pattern of Sr2La6TiCu3O16 was simulated for Cu Kα, 1.54184 Å.
Peak positions follow from Bragg's law for the DFT cell and can differ from measured ones.

abc: 5.433 13.128 10.852
angles: 90.00 90.00 90.00
Space group Cmmm (No. 65)
Unique sites:
Sr  0.000  0.144  0.000 x4
La  0.000  0.139  0.500 x4
La  0.000  0.360  0.257 x8
Ti  0.000  0.500  0.000 x2
Cu  0.000  0.000  0.249 x4
Cu  0.000  0.500  0.500 x2
O  0.000  0.187  0.261 x8
O  0.000  0.317  0.500 x4
O  0.000  0.341  0.000 x4
O  0.245  0.500  0.127 x8
O  0.248  0.000  0.375 x8

Main lines, by angle (5° ≤ 2θ ≤ 70°):
(1 1 2), 24.15°, rel. 18.3
(0 4 0), 27.17°, rel. 10.6
(1 3 2), 30.99°, rel. 100.0
(2 0 0), 33.00°, rel. 65.7
(0 6 0), 41.26°, rel. 12.0
(1 5 2), 41.67°, rel. 18.9
(2 4 0), 43.25°, rel. 26.4
(2 0 4), 47.36°, rel. 33.3
(2 6 0), 53.82°, rel. 16.9
(1 7 2), 54.45°, rel. 11.2
(3 3 2), 57.68°, rel. 34.7
(2 6 4), 64.59°, rel. 11.2


Starting from a cell relaxed with GGA-PBE, the PXRD pattern of PaPd2Br was simulated for Cu Kα, 1.54184 Å.
Peak positions follow from Bragg's law for the DFT cell and can differ from measured ones.

abc: 3.8107 3.8107 25.3289
angles: 90.00 90.00 120.00
Space group R-3m (No. 166, hexagonal axes)
Unique sites:
Pa  0.0000  0.0000  0.0000 x3
Pd  0.0000  0.0000  0.4002 x6
Br  0.0000  0.0000  0.5000 x3

Main lines, by angle (5° ≤ 2θ ≤ 70°):
(0 0 3), 10.48°, rel. 93.8
(0 1 2), 27.94°, rel. 100.0
(0 1 5), 32.38°, rel. 63.0
(1 0 7), 36.86°, rel. 15.5
(0 1 8), 39.44°, rel. 39.6
(1 0 10), 45.12°, rel. 53.3
(1 1 0), 47.73°, rel. 45.2
(1 1 3), 49.01°, rel. 13.9
(2 0 2), 56.22°, rel. 14.3
(2 0 5), 58.86°, rel. 11.6
(1 1 12), 66.06°, rel. 17.9
(0 2 10), 67.78°, rel. 15.8


Starting from a cell relaxed with GGA-PBE, the PXRD pattern of Tb12Si5Sn was simulated for Cu Kα, 1.54184 Å.
Peak positions follow from Bragg's law for the DFT cell and can differ from measured ones.

abc: 9.503 9.582 10.290
angles: 90.00 90.00 90.00
Space group Immm (No. 71)
Unique sites:
Tb  0.000  0.198  0.233 x8
Tb  0.204  0.500  0.179 x8
Tb  0.229  0.319  0.500 x8
Si  0.000  0.000  0.000 x2
Si  0.000  0.373  0.000 x4
Si  0.000  0.500  0.385 x4
Sn  0.000  0.000  0.500 x2

Main lines, by angle (5° ≤ 2θ ≤ 70°):
(2 0 2), 25.52°, rel. 21.1
(0 1 3), 27.63°, rel. 23.9
(0 3 1), 29.28°, rel. 29.0
(3 1 0), 29.71°, rel. 22.1
(2 2 2), 31.72°, rel. 100.0
(2 1 3), 33.55°, rel. 45.8
(1 3 2), 34.37°, rel. 33.9
(0 0 4), 34.92°, rel. 38.6
(4 0 0), 37.87°, rel. 23.7
(3 5 0), 56.09°, rel. 17.3
(2 5 3), 58.49°, rel. 16.0
(5 3 2), 59.37°, rel. 19.1